1.
Diffraction record for Tb4BiRh2. The X-ray diffraction stick pattern is computed, not measured: it uses a crystal structure in Alexandria, relaxed with GGA-PBE and Cu Kα, 1.54184 Å.
Peak positions follow from Bragg's law for the DFT cell and can differ from measured ones.

Structure:
a = 9.2493 Å, b = 9.2615 Å, c = 9.6038 Å
α = 90.00°, β = 90.00°, γ = 90.00°
Space group Imma (No. 74)
Symmetry-distinct sites (fractional):
Tb: 0.0000 0.0669 0.2249 (multiplicity 8)
Tb: 0.1832 0.2500 0.5251 (multiplicity 8)
Bi: 0.0000 0.2500 0.8741 (multiplicity 4)
Rh: 0.0000 0.0000 0.5000 (multiplicity 4)
Rh: 0.2500 0.2500 0.2500 (multiplicity 4)

Largest 12 diffraction maxima, by angle, 10° ≤ 2θ ≤ 90°:
hkl 0 2 0, 19.18°, d 4.628, I = 44; hkl 2 0 2, 26.75°, d 3.332, I = 34; hkl 2 2 0, 27.25°, d 3.272, I = 36; hkl 1 0 3, 29.53°, d 3.025, I = 84; hkl 0 3 1, 30.43°, d 2.937, I = 44; hkl 3 1 2, 35.93°, d 2.499, I = 26; hkl 2 3 1, 36.22°, d 2.480, I = 100; hkl 4 0 0, 38.92°, d 2.314, I = 38; hkl 2 3 3, 45.28°, d 2.003, I = 21; hkl 2 2 4, 46.94°, d 1.936, I = 52; hkl 5 0 3, 57.51°, d 1.602, I = 20; hkl 6 3 1, 68.73°, d 1.366, I = 20

---

2.
Diffraction record for TbBiRh2. The X-ray diffraction stick pattern is computed, not measured: it uses a crystal structure in Alexandria, relaxed with GGA-PBE and Cu Kα, 1.54184 Å.
Peak positions follow from Bragg's law for the DFT cell and can differ from measured ones.

Structure:
a = 8.0575 Å, b = 7.3182 Å, c = 5.9062 Å
α = 90.00°, β = 92.53°, γ = 90.00°
Space group P2_1/c (No. 14)
Symmetry-distinct sites (fractional):
Tb: 0.1447 0.0797 0.2521 (multiplicity 4)
Bi: 0.3461 0.5420 0.2749 (multiplicity 4)
Rh: 0.1272 0.7486 0.0079 (multiplicity 4)
Rh: 0.4369 0.2233 0.4886 (multiplicity 4)

Largest 12 diffraction maxima, by angle, 10° ≤ 2θ ≤ 90°:
hkl 0 2 1, 28.71°, d 3.110, I = 55; hkl 2 1 -1, 28.99°, d 3.080, I = 82; hkl 2 1 1, 30.02°, d 2.977, I = 100; hkl 2 1 -2, 39.04°, d 2.307, I = 35; hkl 0 2 2, 39.23°, d 2.297, I = 89; hkl 2 1 2, 40.62°, d 2.221, I = 38; hkl 3 2 0, 41.75°, d 2.164, I = 17; hkl 2 3 0, 43.37°, d 2.086, I = 68; hkl 4 0 0, 45.05°, d 2.012, I = 24; hkl 0 4 1, 52.37°, d 1.747, I = 34; hkl 2 1 3, 54.27°, d 1.690, I = 17; hkl 2 5 2, 76.91°, d 1.240, I = 18

---

3.
Diffraction record for Bi4TeRh. The X-ray diffraction stick pattern is computed, not measured: it uses a crystal structure in Alexandria, relaxed with GGA-PBE and Cu Kα, 1.54184 Å.
Peak positions follow from Bragg's law for the DFT cell and can differ from measured ones.

Structure:
a = 6.9768 Å, b = 7.1083 Å, c = 8.3233 Å
α = 71.46°, β = 68.71°, γ = 89.90°
Space group P-1 (No. 2)
Symmetry-distinct sites (fractional):
Bi: 0.0341 0.2284 0.1538 (multiplicity 2)
Bi: 0.1138 0.3254 0.5710 (multiplicity 2)
Bi: 0.4008 0.8926 0.4018 (multiplicity 2)
Bi: 0.4104 0.5441 0.8303 (multiplicity 2)
Te: 0.2530 0.8781 0.0197 (multiplicity 2)
Rh: 0.0000 0.0000 0.5000 (multiplicity 1)
Rh: 0.5000 0.5000 0.5000 (multiplicity 1)

Largest 12 diffraction maxima, by angle, 10° ≤ 2θ ≤ 90°:
hkl 1 -2 0, 28.45°, d 3.137, I = 100; hkl 2 0 2, 29.14°, d 3.065, I = 57; hkl 1 2 2, 29.96°, d 2.982, I = 54; hkl 0 1 -2, 31.71°, d 2.822, I = 39; hkl 2 1 0, 32.37°, d 2.766, I = 35; hkl -2 1 1, 34.05°, d 2.633, I = 44; hkl 0 1 3, 34.71°, d 2.584, I = 24; hkl 1 -1 3, 40.64°, d 2.220, I = 16; hkl 3 1 1, 41.67°, d 2.167, I = 21; hkl -1 3 2, 43.57°, d 2.077, I = 24; hkl 1 3 0, 44.72°, d 2.027, I = 17; hkl 2 0 -3, 55.39°, d 1.659, I = 18

---

4.
Diffraction record for Bi3TeRh. The X-ray diffraction stick pattern is computed, not measured: it uses a crystal structure in Alexandria, relaxed with GGA-PBE and Cu Kα, 1.54184 Å.
Peak positions follow from Bragg's law for the DFT cell and can differ from measured ones.

Structure:
a = 8.3049 Å, b = 4.3822 Å, c = 9.0369 Å
α = 90.00°, β = 113.46°, γ = 90.00°
Space group P2_1/m (No. 11)
Symmetry-distinct sites (fractional):
Bi: 0.1384 0.2500 0.1530 (multiplicity 2)
Bi: 0.1690 0.2500 0.7634 (multiplicity 2)
Bi: 0.2649 0.7500 0.5038 (multiplicity 2)
Te: 0.4157 0.7500 0.1894 (multiplicity 2)
Rh: 0.0291 0.2500 0.4069 (multiplicity 2)

Largest 12 diffraction maxima, by angle, 10° ≤ 2θ ≤ 90°:
hkl 1 0 0, 11.62°, d 7.618, I = 68; hkl 1 1 1, 27.71°, d 3.220, I = 81; hkl 1 1 -2, 28.55°, d 3.127, I = 86; hkl 2 1 0, 31.11°, d 2.875, I = 100; hkl 2 0 -3, 31.53°, d 2.837, I = 43; hkl 0 0 3, 32.40°, d 2.763, I = 43; hkl 3 0 -2, 33.24°, d 2.696, I = 31; hkl 0 1 3, 38.55°, d 2.335, I = 52; hkl 3 1 -2, 39.24°, d 2.296, I = 43; hkl 3 0 1, 41.10°, d 2.196, I = 26; hkl 0 2 0, 41.20°, d 2.191, I = 54; hkl 3 1 -5, 56.89°, d 1.619, I = 27

---

Question: Number 3 is which compound?
Answer: Bi4TeRh